Record 1
HoErGe2Os: computed powder diffractogram (Cu Kα, 1.54184 Å), based on a GGA-PBE-relaxed structure.
Intensities are scaled so that the largest is 100.

Cell and atoms:
```
data_HoErGe2Os
_chemical_formula_sum 'Ho4 Er4 Ge8 Os4'
_cell_length_a 10.7203
_cell_length_b 4.2912
_cell_length_c 10.0742
_cell_angle_alpha 90.00
_cell_angle_beta 117.99
_cell_angle_gamma 90.00
_space_group_name_H-M_alt 'C 1 2/m 1'
_space_group_IT_number 12
_space_group_name_Hall '-C 2y'
loop_
_atom_site_label
_atom_site_fract_x
_atom_site_fract_y
_atom_site_fract_z
Ho1 0.0037 0.0000 0.1751
Er1 0.1839 0.0000 0.6156
Ge1 0.0148 0.5000 0.3768
Ge2 0.1417 0.5000 0.0612
Os1 0.2299 0.5000 0.8666
```

Principal peaks in the range 2θ from 10° to 90°, by angle:
2theta, intensity, hkl
27.30, 20.7, 1 1 -2
32.78, 22.8, 3 1 -1
33.33, 100.0, 1 1 2
33.51, 22.6, 4 0 -2
34.23, 21.8, 1 1 -3
36.86, 54.2, 3 1 -3
40.42, 47.5, 3 1 1
40.57, 39.1, 0 0 4
42.11, 43.9, 0 2 0
59.91, 25.0, 0 2 4

Record 2
AgMo6N6: computed powder diffractogram (Cu Kα, 1.54184 Å), based on a GGA-PBE-relaxed structure.
Intensities are scaled so that the largest is 100.

Cell and atoms:
```
data_AgMo6N6
_chemical_formula_sum 'Ag2 Mo12 N12'
_cell_length_a 11.2938
_cell_length_b 4.1341
_cell_length_c 6.5849
_cell_angle_alpha 90.00
_cell_angle_beta 92.98
_cell_angle_gamma 90.00
_space_group_name_H-M_alt 'C 1 2/m 1'
_space_group_IT_number 12
_space_group_name_Hall '-C 2y'
loop_
_atom_site_label
_atom_site_fract_x
_atom_site_fract_y
_atom_site_fract_z
Ag1 0.0000 0.0000 0.0000
Mo1 0.1011 0.5000 0.3758
Mo2 0.1273 0.0000 0.6696
Mo3 0.2274 0.0000 0.1873
N1 0.0759 0.0000 0.3527
N2 0.0886 0.5000 0.6943
N3 0.2274 0.5000 0.1260
```

Principal peaks in the range 2θ from 10° to 90°, by angle:
2theta, intensity, hkl
26.88, 20.4, 1 1 1
33.94, 26.2, 4 0 -1
34.53, 17.9, 3 1 -1
35.28, 28.4, 4 0 1
35.50, 100.0, 3 1 1
36.12, 24.9, 1 1 2
41.72, 29.7, 3 1 -2
43.51, 21.5, 2 0 -3
43.80, 48.8, 0 2 0
61.66, 19.4, 1 1 4